Starting from a DFT-relaxed cell (PBE, Alexandria), the X-ray diffraction stick pattern of Tl7InHg3 was simulated for a wavelength of 1.5418 Å.
Lines closer than 0.1° are merged.

Atomic structure:
```
Tl7InHg3
1.0
7.114 0.000 0.000
-3.557 6.161 0.000
0.000 0.000 7.713
Tl In Hg
7 1 3
Direct
0.000 0.000 0.000 Tl
0.011 0.506 0.028 Tl
0.173 0.347 0.648 Tl
0.173 0.827 0.648 Tl
0.494 0.506 0.028 Tl
0.494 0.989 0.028 Tl
0.653 0.827 0.648 Tl
0.667 0.333 0.687 In
0.342 0.171 0.343 Hg
0.829 0.171 0.343 Hg
0.829 0.658 0.343 Hg
```

Main lines, by angle (2θ from 5° to 70°):
Position (°2θ)	I (rel.)	hkl
18.4	80	0 1 1
31.3	1000	2 0 1
34.9	223	0 0 3
37.4	593	0 2 2
51.4	249	2 2 0
56.3	171	2 0 4
61.4	146	0 4 1
63.6	234	2 2 3
65.2	116	4 0 2
68.0	89	0 2 5